For Cd3AgHg2, a DFT-relaxed cell (GGA-PBE, Alexandria) gives the theoretical powder X-ray diffraction pattern in this record (Cu Kα X-rays).
Neutral-atom scattering factors, no anomalous dispersion.

Crystal structure
Cell: 5.4829 9.1661 5.2649 Å, 90.00 90.00 90.00°
Atoms (fractional coordinates):
Cd  0.2500  0.0875  0.0872
Cd  0.2500  0.4125  0.0872
Cd  0.2500  0.7500  0.0980
Cd  0.7500  0.2500  0.9020
Cd  0.7500  0.5875  0.9128
Cd  0.7500  0.9125  0.9128
Ag  0.2500  0.2500  0.5902
Ag  0.7500  0.7500  0.4098
Hg  0.2500  0.5789  0.5909
Hg  0.2500  0.9211  0.5909
Hg  0.7500  0.0789  0.4091
Hg  0.7500  0.4211  0.4091

Main lines, sorted by position (10 to 90 degrees two-theta):
- d = 2.741 Å, intensity 53
- d = 2.643 Å, intensity 28
- d = 2.381 Å, intensity 100
- d = 2.373 Å, intensity 58
- d = 1.503 Å, intensity 24
- d = 1.331 Å, intensity 21

For Rb2ScF7, a DFT-relaxed cell (GGA-PBE, Alexandria) gives the theoretical powder X-ray diffraction pattern in this record (Cu Kα X-rays).
Neutral-atom scattering factors, no anomalous dispersion.

Crystal structure
Cell: 6.4837 6.4837 6.4837 Å, 125.60 125.60 80.54°
Atoms (fractional coordinates):
Rb  0.2500  0.7500  0.5000
Rb  0.7500  0.2500  0.5000
Sc  0.0000  0.0000  0.0000
F  0.2017  0.2017  0.0000
F  0.2430  0.2430  0.4861
F  0.2430  0.7570  0.0000
F  0.5000  0.5000  0.0000
F  0.7570  0.2430  0.0000
F  0.7570  0.7570  0.5139
F  0.7983  0.7983  0.0000

Main lines, sorted by position (10 to 90 degrees two-theta):
- d = 3.198 Å, intensity 100
- d = 2.963 Å, intensity 38
- d = 2.542 Å, intensity 61
- d = 2.474 Å, intensity 32
- d = 2.096 Å, intensity 43
- d = 1.753 Å, intensity 33

For PaTl2SiO8, a DFT-relaxed cell (GGA-PBE, Alexandria) gives the theoretical powder X-ray diffraction pattern in this record (Cu Kα X-rays).
Neutral-atom scattering factors, no anomalous dispersion.

Crystal structure
Cell: 5.7746 5.7746 5.6557 Å, 90.00 90.00 120.00°
Atoms (fractional coordinates):
Pa  0.0000  0.0000  0.0000
Tl  0.3333  0.6667  0.4715
Tl  0.6667  0.3333  0.5285
Si  0.0000  0.0000  0.5000
O  0.1431  0.2862  0.6932
O  0.1431  0.8569  0.6932
O  0.2862  0.1431  0.3068
O  0.3333  0.6667  0.1091
O  0.6667  0.3333  0.8909
O  0.7138  0.8569  0.6932
O  0.8569  0.1431  0.3068
O  0.8569  0.7138  0.3068

Main lines, sorted by position (10 to 90 degrees two-theta):
- d = 3.746 Å, intensity 100
- d = 2.887 Å, intensity 83
- d = 2.287 Å, intensity 36
- d = 2.020 Å, intensity 59
- d = 1.793 Å, intensity 30
- d = 1.436 Å, intensity 20

For Ba2CdIr, a DFT-relaxed cell (GGA-PBE, Alexandria) gives the theoretical powder X-ray diffraction pattern in this record (Cu Kα X-rays).
Neutral-atom scattering factors, no anomalous dispersion.

Crystal structure
Cell: 4.7695 4.7695 25.0013 Å, 90.00 90.00 120.00°
Atoms (fractional coordinates):
Ba  0.0000  0.0000  0.0000
Ba  0.0000  0.0000  0.1633
Ba  0.3333  0.6667  0.6667
Ba  0.3333  0.6667  0.8299
Ba  0.6667  0.3333  0.3333
Ba  0.6667  0.3333  0.4966
Cd  0.0000  0.0000  0.4149
Cd  0.3333  0.6667  0.0816
Cd  0.6667  0.3333  0.7483
Ir  0.0000  0.0000  0.7486
Ir  0.3333  0.6667  0.4153
Ir  0.6667  0.3333  0.0819

Main lines, sorted by position (10 to 90 degrees two-theta):
- d = 8.334 Å, intensity 100
- d = 3.446 Å, intensity 32
- d = 3.185 Å, intensity 48
- d = 2.702 Å, intensity 33
- d = 2.385 Å, intensity 49
- d = 2.293 Å, intensity 26

For Ag4ICl8, a DFT-relaxed cell (GGA-PBE, Alexandria) gives the theoretical powder X-ray diffraction pattern in this record (Cu Kα X-rays).
Neutral-atom scattering factors, no anomalous dispersion.

Crystal structure
Cell: 8.0361 8.0361 8.1717 Å, 110.47 110.47 56.79°
Atoms (fractional coordinates):
Ag  0.0000  0.0000  0.0000
Ag  0.0000  0.5000  0.0000
Ag  0.5000  0.0000  0.0000
Ag  0.5000  0.5000  0.0000
I  0.0000  0.0000  0.5000
Cl  0.1960  0.1960  0.1533
Cl  0.2145  0.7401  0.2661
Cl  0.2599  0.7855  0.7339
Cl  0.3142  0.3142  0.8466
Cl  0.6858  0.6858  0.1534
Cl  0.7401  0.2145  0.2661
Cl  0.7855  0.2599  0.7339
Cl  0.8040  0.8040  0.8467

Main lines, sorted by position (10 to 90 degrees two-theta):
- d = 7.498 Å, intensity 100
- d = 3.752 Å, intensity 23
- d = 3.267 Å, intensity 29
- d = 3.243 Å, intensity 45
- d = 2.766 Å, intensity 80
- d = 2.258 Å, intensity 28

For PmYGa4, a DFT-relaxed cell (GGA-PBE, Alexandria) gives the theoretical powder X-ray diffraction pattern in this record (Cu Kα X-rays).
Neutral-atom scattering factors, no anomalous dispersion.

Crystal structure
Cell: 4.2082 4.2082 14.7725 Å, 90.00 90.00 90.00°
Atoms (fractional coordinates):
Pm  0.0000  0.0000  0.0000
Pm  0.5000  0.5000  0.5000
Y  0.0000  0.5000  0.2500
Y  0.5000  0.0000  0.7500
Ga  0.0000  0.0000  0.4165
Ga  0.0000  0.0000  0.5835
Ga  0.0000  0.5000  0.6677
Ga  0.0000  0.5000  0.8323
Ga  0.5000  0.0000  0.1677
Ga  0.5000  0.0000  0.3323
Ga  0.5000  0.5000  0.0835
Ga  0.5000  0.5000  0.9165

Main lines, sorted by position (10 to 90 degrees two-theta):
- d = 3.199 Å, intensity 29
- d = 2.760 Å, intensity 100
- d = 2.418 Å, intensity 56
- d = 2.104 Å, intensity 43
- d = 1.886 Å, intensity 27
- d = 1.587 Å, intensity 30

For ScAgPb, a DFT-relaxed cell (GGA-PBE, Alexandria) gives the theoretical powder X-ray diffraction pattern in this record (Cu Kα X-rays).
Neutral-atom scattering factors, no anomalous dispersion.

Crystal structure
Cell: 4.3105 4.3418 7.4965 Å, 90.00 106.58 90.00°
Atoms (fractional coordinates):
Sc  0.1579  0.0000  0.3158
Sc  0.8421  0.0000  0.6842
Ag  0.0000  0.5000  0.0000
Ag  0.5000  0.0000  0.0000
Pb  0.3398  0.5000  0.6798
Pb  0.6602  0.5000  0.3202

Main lines, sorted by position (10 to 90 degrees two-theta):
- d = 4.342 Å, intensity 17
- d = 3.204 Å, intensity 17
- d = 2.578 Å, intensity 100
- d = 2.395 Å, intensity 20
- d = 2.171 Å, intensity 15
- d = 2.155 Å, intensity 15

For Hf5Ru3, a DFT-relaxed cell (GGA-PBE, Alexandria) gives the theoretical powder X-ray diffraction pattern in this record (Cu Kα X-rays).
Neutral-atom scattering factors, no anomalous dispersion.

Crystal structure
Cell: 3.2493 3.2493 13.7773 Å, 90.00 90.00 90.00°
Atoms (fractional coordinates):
Hf  0.0000  0.0000  0.0000
Hf  0.0000  0.0000  0.2349
Hf  0.0000  0.0000  0.7651
Hf  0.5000  0.5000  0.3828
Hf  0.5000  0.5000  0.6172
Ru  0.0000  0.0000  0.5000
Ru  0.5000  0.5000  0.1170
Ru  0.5000  0.5000  0.8830

Main lines, sorted by position (10 to 90 degrees two-theta):
- d = 2.364 Å, intensity 100
- d = 2.298 Å, intensity 50
- d = 1.625 Å, intensity 18
- d = 1.378 Å, intensity 15
- d = 1.339 Å, intensity 33
- d = 1.182 Å, intensity 10

For Ba5Se, a DFT-relaxed cell (GGA-PBE, Alexandria) gives the theoretical powder X-ray diffraction pattern in this record (Cu Kα X-rays).
Neutral-atom scattering factors, no anomalous dispersion.

Crystal structure
Cell: 15.1250 4.3612 10.3657 Å, 90.00 102.46 90.00°
Atoms (fractional coordinates):
Ba  0.0000  0.0000  0.0000
Ba  0.0884  0.0000  0.4100
Ba  0.1876  0.5000  0.7875
Ba  0.2883  0.5000  0.1891
Ba  0.3836  0.0000  0.6138
Ba  0.5000  0.5000  0.0000
Ba  0.5884  0.5000  0.4100
Ba  0.6876  0.0000  0.7875
Ba  0.7883  0.0000  0.1891
Ba  0.8836  0.5000  0.6138
Se  0.3336  0.0000  0.9426
Se  0.8336  0.5000  0.9426

Main lines, sorted by position (10 to 90 degrees two-theta):
- d = 3.952 Å, intensity 76
- d = 3.809 Å, intensity 93
- d = 3.738 Å, intensity 88
- d = 3.354 Å, intensity 100
- d = 3.325 Å, intensity 74
- d = 3.264 Å, intensity 93

For SrGa4Au12, a DFT-relaxed cell (GGA-PBE, Alexandria) gives the theoretical powder X-ray diffraction pattern in this record (Cu Kα X-rays).
Neutral-atom scattering factors, no anomalous dispersion.

Crystal structure
Cell: 7.8277 7.8277 7.8277 Å, 109.47 109.47 109.47°
Atoms (fractional coordinates):
Sr  0.0000  0.0000  0.0000
Ga  0.0000  0.0000  0.5000
Ga  0.0000  0.5000  0.0000
Ga  0.5000  0.0000  0.0000
Ga  0.5000  0.5000  0.5000
Au  0.1556  0.3455  0.5011
Au  0.1556  0.6545  0.8101
Au  0.1899  0.8444  0.3455
Au  0.3455  0.1899  0.8444
Au  0.3455  0.5011  0.1556
Au  0.4989  0.8444  0.6545
Au  0.5011  0.1556  0.3455
Au  0.6545  0.4989  0.8444
Au  0.6545  0.8101  0.1556
Au  0.8101  0.1556  0.6545
Au  0.8444  0.3455  0.1899
Au  0.8444  0.6545  0.4989

Main lines, sorted by position (10 to 90 degrees two-theta):
- d = 2.858 Å, intensity 100
- d = 2.416 Å, intensity 34
- d = 2.021 Å, intensity 16
- d = 1.845 Å, intensity 13
- d = 1.773 Å, intensity 32
- d = 1.333 Å, intensity 17